1.
For HIBr, DFT lattice parameters and positions (PBE) gives the computed powder X-ray diffraction pattern in this record (Cu Kα (weighted mean of Kα1 and Kα2)).

Crystal structure
```
data_HIBr
_chemical_formula_sum 'H2 I2 Br2'
_symmetry_space_group_name_H-M 'P 1 21 1'
_symmetry_Int_Tables_number 4
_symmetry_space_group_name_Hall 'P 2yb'
_cell_length_a 4.9195
_cell_length_b 5.6086
_cell_length_c 9.2753
_cell_angle_alpha 90.00
_cell_angle_beta 101.91
_cell_angle_gamma 90.00
loop_
_atom_site_label
_atom_site_type_symbol
_atom_site_fract_x
_atom_site_fract_y
_atom_site_fract_z
H1 H 0.0316 0.0000 0.4777
I1 I 0.4339 0.7993 0.9609
Br1 Br 0.1524 0.8065 0.4044
```

Largest 8 diffraction maxima, low angle first, 10° ≤ 2θ ≤ 90°:
two_theta  I (rel.)  hkl
19.0  77  1 0 -1
19.6  90  0 0 2
22.6  100  1 0 1
24.0  78  1 0 -2
24.4  73  1 1 0
25.2  89  0 1 2
31.9  55  0 2 0
40.3  63  1 0 -4

2.
For Pm19Sm4Ho6, DFT lattice parameters and positions (PBE) gives the computed powder X-ray diffraction pattern in this record (Cu Kα (weighted mean of Kα1 and Kα2)).

Crystal structure
```
data_Pm19Sm4Ho6
_chemical_formula_sum 'Pm38 Sm8 Ho12'
_symmetry_space_group_name_H-M 'I 2 3'
_symmetry_Int_Tables_number 197
_symmetry_space_group_name_Hall 'I 2 2 3'
_cell_length_a 12.6540
_cell_length_b 12.6540
_cell_length_c 12.6540
_cell_angle_alpha 90.00
_cell_angle_beta 90.00
_cell_angle_gamma 90.00
loop_
_atom_site_label
_atom_site_type_symbol
_atom_site_fract_x
_atom_site_fract_y
_atom_site_fract_z
Pm1 Pm 0.0000 0.0000 0.0000
Pm2 Pm 0.0000 0.0000 0.2597
Pm3 Pm 0.0607 0.2811 0.7371
Sm1 Sm 0.1816 0.1816 0.1816
Ho1 Ho 0.0000 0.1242 0.5000
```

Largest 8 diffraction maxima, low angle first, 10° ≤ 2θ ≤ 90°:
two_theta  I (rel.)  hkl
26.4  51  3 2 1
28.2  59  4 0 0
30.0  100  4 1 1
34.7  38  4 2 2
36.2  74  4 3 1
53.2  25  7 2 1
59.3  29  7 4 1
60.3  25  8 2 0

3.
For BaSn4Au2, DFT lattice parameters and positions (PBE) gives the computed powder X-ray diffraction pattern in this record (Cu Kα (weighted mean of Kα1 and Kα2)).

Crystal structure
```
data_BaSn4Au2
_chemical_formula_sum 'Ba4 Sn16 Au8'
_symmetry_space_group_name_H-M 'P n m a'
_symmetry_Int_Tables_number 62
_symmetry_space_group_name_Hall '-P 2ac 2n'
_cell_length_a 20.9538
_cell_length_b 4.7061
_cell_length_c 7.6932
_cell_angle_alpha 90.00
_cell_angle_beta 90.00
_cell_angle_gamma 90.00
loop_
_atom_site_label
_atom_site_type_symbol
_atom_site_fract_x
_atom_site_fract_y
_atom_site_fract_z
Ba1 Ba 0.1395 0.2500 0.0200
Sn1 Sn 0.0255 0.7500 0.1477
Sn2 Sn 0.0673 0.2500 0.5099
Sn3 Sn 0.1852 0.7500 0.7120
Sn4 Sn 0.1948 0.7500 0.3077
Au1 Au 0.0434 0.7500 0.7467
Au2 Au 0.2160 0.2500 0.5089
```

Largest 8 diffraction maxima, low angle first, 10° ≤ 2θ ≤ 90°:
two_theta  I (rel.)  hkl
30.8  53  5 1 1
31.2  100  2 1 2
31.9  18  6 1 0
32.1  41  7 0 1
38.2  50  0 2 0
39.8  48  6 1 2
50.8  24  7 2 1
56.9  19  9 1 3

4.
For Ca2LaGaCu2O7, DFT lattice parameters and positions (PBE) gives the computed powder X-ray diffraction pattern in this record (Cu Kα (weighted mean of Kα1 and Kα2)).

Crystal structure
```
data_Ca2LaGaCu2O7
_chemical_formula_sum 'Ca4 La2 Ga2 Cu4 O14'
_symmetry_space_group_name_H-M 'P 1'
_symmetry_Int_Tables_number 1
_symmetry_space_group_name_Hall 'P 1'
_cell_length_a 5.4192
_cell_length_b 5.5780
_cell_length_c 11.8395
_cell_angle_alpha 77.34
_cell_angle_beta 77.15
_cell_angle_gamma 89.94
loop_
_atom_site_label
_atom_site_type_symbol
_atom_site_fract_x
_atom_site_fract_y
_atom_site_fract_z
Ca1 Ca 0.0000 0.0000 0.0000
Ca2 Ca 0.1574 0.0971 0.7111
Ca3 Ca 0.4997 0.4245 0.0023
Ca4 Ca 0.8075 0.8116 0.3894
La1 La 0.3140 0.2458 0.4017
La2 La 0.6709 0.6116 0.7004
Ga1 Ga 0.3872 0.8049 0.1931
Ga2 Ga 0.8918 0.4405 0.1941
Cu1 Cu 0.0914 0.5352 0.8565
Cu2 Cu 0.2507 0.6882 0.5474
Cu3 Cu 0.5898 0.0312 0.8558
Cu4 Cu 0.7491 0.1947 0.5495
O1 O 0.0219 0.4099 0.5606
O2 O 0.0338 0.7533 0.1974
O3 O 0.0530 0.3629 0.0561
O4 O 0.3478 0.2878 0.8314
O5 O 0.3526 0.7768 0.8510
O6 O 0.4022 0.8707 0.3376
O7 O 0.4724 0.9583 0.5624
O8 O 0.5328 0.4725 0.5317
O9 O 0.5356 0.4879 0.1959
O10 O 0.5504 0.0089 0.0554
O11 O 0.8423 0.2997 0.8399
O12 O 0.8542 0.7952 0.8458
O13 O 0.8980 0.2349 0.3387
O14 O 0.9802 0.9200 0.5542
```

Largest 8 diffraction maxima, low angle first, 10° ≤ 2θ ≤ 90°:
two_theta  I (rel.)  hkl
20.0  22  0 1 2
32.1  50  0 2 1
32.9  50  1 1 -2
33.1  100  2 0 1
33.3  50  -1 1 3
33.5  46  1 1 4
46.7  62  2 2 2
48.6  19  0 0 6

5.
For Zr4Sn3, DFT lattice parameters and positions (PBE) gives the computed powder X-ray diffraction pattern in this record (Cu Kα (weighted mean of Kα1 and Kα2)).

Crystal structure
```
data_Zr4Sn3
_chemical_formula_sum 'Zr8 Sn6'
_symmetry_space_group_name_H-M 'P 63/m'
_symmetry_Int_Tables_number 176
_symmetry_space_group_name_Hall '-P 6c'
_cell_length_a 8.3690
_cell_length_b 8.3690
_cell_length_c 5.3033
_cell_angle_alpha 90.00
_cell_angle_beta 90.00
_cell_angle_gamma 120.00
loop_
_atom_site_label
_atom_site_type_symbol
_atom_site_fract_x
_atom_site_fract_y
_atom_site_fract_z
Zr1 Zr 0.0230 0.7865 0.2500
Zr2 Zr 0.3333 0.6667 0.2500
Sn1 Sn 0.0741 0.6223 0.7500
```

Largest 8 diffraction maxima, low angle first, 10° ≤ 2θ ≤ 90°:
two_theta  I (rel.)  hkl
32.7  23  1 2 0
33.8  30  0 0 2
36.9  100  1 2 1
47.7  16  1 2 2
58.3  14  4 1 0
62.5  21  1 2 3
69.2  17  4 1 2
71.1  12  2 4 1

6.
For NiHgTe2, DFT lattice parameters and positions (PBE) gives the computed powder X-ray diffraction pattern in this record (Cu Kα (weighted mean of Kα1 and Kα2)).

Crystal structure
```
data_NiHgTe2
_chemical_formula_sum 'Ni2 Hg2 Te4'
_symmetry_space_group_name_H-M 'P 63/m m c'
_symmetry_Int_Tables_number 194
_symmetry_space_group_name_Hall '-P 6c 2c'
_cell_length_a 3.8606
_cell_length_b 3.8606
_cell_length_c 15.5579
_cell_angle_alpha 90.00
_cell_angle_beta 90.00
_cell_angle_gamma 120.00
loop_
_atom_site_label
_atom_site_type_symbol
_atom_site_fract_x
_atom_site_fract_y
_atom_site_fract_z
Ni1 Ni 0.0000 0.0000 0.0000
Hg1 Hg 0.3333 0.6667 0.2500
Te1 Te 0.3333 0.6667 0.5853
```

Largest 8 diffraction maxima, low angle first, 10° ≤ 2θ ≤ 90°:
two_theta  I (rel.)  hkl
26.7  13  1 0 0
31.8  100  1 0 3
44.2  22  1 0 6
47.1  30  1 1 0
58.0  18  2 0 3
59.7  16  1 1 6
60.3  16  1 0 9
77.8  16  2 1 3